(1)
# Al8Zn3CoO16
Calculated X-ray diffraction stick pattern, Cu Kα, 1.54184 Å. Input: the PBE+U geometry in the Materials Project.

Top 10 peaks for 10 to 90 degrees two-theta, by intensity:
2θ 36.43, 2.466 Å, I 100
2θ 30.92, 2.892 Å, I 75
2θ 64.44, 1.446 Å, I 48
2θ 58.65, 1.574 Å, I 43
2θ 55.00, 1.670 Å, I 25
2θ 89.71, 1.093 Å, I 14
2θ 76.35, 1.247 Å, I 11
2θ 48.51, 1.876 Å, I 10
2θ 73.18, 1.293 Å, I 9
2θ 44.30, 2.045 Å, I 5

Structural model:
Lattice parameters (Å, degrees): 5.784 5.784 8.179 90.00 90.00 90.00
Sites, in units of the cell vectors:
Al1 0.000 0.250 0.375
Al2 0.000 0.750 0.375
Al3 0.250 0.000 0.625
Al4 0.250 0.500 0.125
Al5 0.500 0.250 0.875
Al6 0.500 0.750 0.875
Al7 0.750 0.000 0.625
Al8 0.750 0.500 0.125
Zn1 0.000 0.000 0.000
Zn2 0.000 0.500 0.750
Zn3 0.500 0.000 0.250
Co1 0.500 0.500 0.500
O1 0.000 0.221 0.611
O2 0.000 0.279 0.139
O3 0.000 0.721 0.139
O4 0.000 0.779 0.611
O5 0.221 0.000 0.389
O6 0.221 0.500 0.360
O7 0.279 0.000 0.861
O8 0.279 0.500 0.889
O9 0.500 0.221 0.640
O10 0.500 0.279 0.111
O11 0.500 0.721 0.111
O12 0.500 0.779 0.640
O13 0.721 0.000 0.861
O14 0.721 0.500 0.889
O15 0.779 0.000 0.389
O16 0.779 0.500 0.360

---

(2)
# Sr2AlCrCu2O7
Calculated X-ray diffraction stick pattern, Cu Kα, 1.54184 Å. Input: the PBE+U geometry in the Materials Project.

Top 10 peaks for 10 to 90 degrees two-theta, by intensity:
2θ 39.23, 2.296 Å, I 100
2θ 33.28, 2.692 Å, I 88
2θ 32.55, 2.751 Å, I 84
2θ 33.11, 2.706 Å, I 61
2θ 32.91, 2.721 Å, I 60
2θ 28.03, 3.184 Å, I 58
2θ 27.80, 3.209 Å, I 58
2θ 39.07, 2.306 Å, I 41
2θ 46.96, 1.935 Å, I 37
2θ 47.53, 1.913 Å, I 37

Structural model:
Lattice parameters (Å, degrees): 12.104 12.104 5.384 102.70 102.70 143.14
Sites, in units of the cell vectors:
Sr1 0.105 0.895 0.000
Sr2 0.429 0.638 0.035
Sr3 0.638 0.429 0.035
Sr4 0.895 0.105 0.000
Al1 0.264 0.765 0.014
Al2 0.765 0.264 0.014
Cr1 0.090 0.090 0.630
Cr2 0.457 0.457 0.494
Cu1 0.212 0.823 0.515
Cu2 0.320 0.706 0.510
Cu3 0.706 0.320 0.510
Cu4 0.823 0.212 0.515
O1 0.036 0.643 0.658
O2 0.041 0.900 0.440
O3 0.129 0.129 0.009
O4 0.148 0.535 0.012
O5 0.383 0.993 0.360
O6 0.402 0.402 0.816
O7 0.484 0.635 0.542
O8 0.498 0.890 0.011
O9 0.535 0.148 0.012
O10 0.635 0.484 0.542
O11 0.643 0.036 0.658
O12 0.890 0.498 0.011
O13 0.900 0.041 0.440
O14 0.993 0.383 0.360

---

(3)
# MgAlCr3FeO8
Calculated X-ray diffraction stick pattern, Cu Kα, 1.54184 Å. Input: the PBE+U geometry in the Materials Project.

Top 10 peaks for 10 to 90 degrees two-theta, by intensity:
2θ 35.08, 2.558 Å, I 100
2θ 35.29, 2.543 Å, I 96
2θ 42.95, 2.106 Å, I 72
2θ 61.81, 1.501 Å, I 61
2θ 62.91, 1.477 Å, I 59
2θ 30.25, 2.955 Å, I 52
2θ 35.71, 2.515 Å, I 49
2θ 56.75, 1.622 Å, I 39
2θ 18.53, 4.788 Å, I 34
2θ 18.14, 4.889 Å, I 33

Structural model:
Lattice parameters (Å, degrees): 5.911 5.911 5.911 61.04 61.04 61.04
Sites, in units of the cell vectors:
Mg1 0.000 0.000 0.000
Al1 0.375 0.375 0.375
Cr1 0.376 0.376 0.877
Cr2 0.376 0.877 0.376
Cr3 0.877 0.376 0.376
Fe1 0.752 0.752 0.752
O1 0.137 0.137 0.137
O2 0.144 0.144 0.589
O3 0.144 0.589 0.144
O4 0.167 0.605 0.605
O5 0.589 0.144 0.144
O6 0.605 0.167 0.605
O7 0.605 0.605 0.167
O8 0.616 0.616 0.616

---

Copy entry 2 word for word.
# Sr2AlCrCu2O7
Calculated X-ray diffraction stick pattern, Cu Kα, 1.54184 Å. Input: the PBE+U geometry in the Materials Project.

Top 10 peaks for 10 to 90 degrees two-theta, by intensity:
2θ 39.23, 2.296 Å, I 100
2θ 33.28, 2.692 Å, I 88
2θ 32.55, 2.751 Å, I 84
2θ 33.11, 2.706 Å, I 61
2θ 32.91, 2.721 Å, I 60
2θ 28.03, 3.184 Å, I 58
2θ 27.80, 3.209 Å, I 58
2θ 39.07, 2.306 Å, I 41
2θ 46.96, 1.935 Å, I 37
2θ 47.53, 1.913 Å, I 37

Structural model:
Lattice parameters (Å, degrees): 12.104 12.104 5.384 102.70 102.70 143.14
Sites, in units of the cell vectors:
Sr1 0.105 0.895 0.000
Sr2 0.429 0.638 0.035
Sr3 0.638 0.429 0.035
Sr4 0.895 0.105 0.000
Al1 0.264 0.765 0.014
Al2 0.765 0.264 0.014
Cr1 0.090 0.090 0.630
Cr2 0.457 0.457 0.494
Cu1 0.212 0.823 0.515
Cu2 0.320 0.706 0.510
Cu3 0.706 0.320 0.510
Cu4 0.823 0.212 0.515
O1 0.036 0.643 0.658
O2 0.041 0.900 0.440
O3 0.129 0.129 0.009
O4 0.148 0.535 0.012
O5 0.383 0.993 0.360
O6 0.402 0.402 0.816
O7 0.484 0.635 0.542
O8 0.498 0.890 0.011
O9 0.535 0.148 0.012
O10 0.635 0.484 0.542
O11 0.643 0.036 0.658
O12 0.890 0.498 0.011
O13 0.900 0.041 0.440
O14 0.993 0.383 0.360